Starting from a PBE-relaxed structure, the powder diffraction line list of Pm3Al4Ga2 was calculated for copper Kα.

```
data_Pm3Al4Ga2
_chemical_formula_sum 'Pm6 Al8 Ga4'
_space_group_name_H-M_alt 'C 1 2/m 1'
_space_group_IT_number 12
_cell_length_a 10.8718
_cell_length_b 4.5060
_cell_length_c 8.6887
_cell_angle_alpha 90.00
_cell_angle_beta 110.26
_cell_angle_gamma 90.00
loop_
_space_group_symop_operation_xyz
'x,y,z'
'-x,-y,-z'
'-x,y,-z'
'x,-y,z'
'x+1/2,y+1/2,z'
'-x+1/2,-y+1/2,-z'
'-x+1/2,y+1/2,-z'
'x+1/2,-y+1/2,z'
loop_
_atom_site_label
_atom_site_type_symbol
_atom_site_fract_x
_atom_site_fract_y
_atom_site_fract_z
Pm1 Pm 0.0000 0.0000 0.0000
Pm2 Pm 0.1703 0.5000 0.6626
Al1 Al 0.0454 0.0000 0.3787
Al2 Al 0.2295 0.5000 0.0643
Ga1 Ga 0.1098 0.5000 0.2770
```

The 12 most intense peaks (10° ≤ 2θ ≤ 90°), most intense first:
h k l, d (Å), intensity
1 1 2, 2.715, 100
0 2 0, 2.256, 44
1 1 -1, 3.907, 38
0 2 3, 1.735, 26
2 2 -5, 1.376, 16
1 1 5, 1.448, 14
4 0 2, 1.888, 8
1 3 2, 1.374, 8
2 0 4, 1.700, 8
5 1 4, 1.198, 8
4 2 2, 1.447, 7
2 2 -2, 1.954, 6

Starting from a PBE-relaxed structure, the powder diffraction line list of Pm4AlGa12 was calculated for copper Kα.

```
data_Pm4AlGa12
_chemical_formula_sum 'Pm8 Al2 Ga24'
_space_group_name_H-M_alt 'I m -3 m'
_space_group_IT_number 229
_space_group_name_Hall '-I 4 2 3'
_cell_length_a 8.8546
_cell_length_b 8.8546
_cell_length_c 8.8546
_cell_angle_alpha 90.00
_cell_angle_beta 90.00
_cell_angle_gamma 90.00
loop_
_atom_site_label
_atom_site_type_symbol
_atom_site_fract_x
_atom_site_fract_y
_atom_site_fract_z
Pm1 Pm 0.2500 0.2500 0.2500
Al1 Al 0.0000 0.0000 0.0000
Ga1 Ga 0.0000 0.0000 0.3074
Ga2 Ga 0.0000 0.2500 0.5000
```

The 12 most intense peaks (10° ≤ 2θ ≤ 90°), most intense first:
h k l, d (Å), intensity
2 2 2, 2.556, 100
4 0 0, 2.214, 52
4 4 0, 1.565, 28
6 2 2, 1.335, 28
2 2 0, 3.131, 23
4 2 0, 1.980, 10
2 0 0, 4.427, 9
6 2 0, 1.400, 9
3 3 0, 2.087, 8
4 4 4, 1.278, 8
4 4 2, 1.476, 7
3 3 2, 1.888, 7